[1]
Structure and calculated PXRD pattern of Mg2Mn3O8 (a DFT-relaxed cell (PBE+U, Alexandria); Cu Kα).
Lines closer than 0.1° are merged.

Cell and atoms:
a = 5.8583 Å, b = 5.8583 Å, c = 9.3487 Å
α = 90.00°, β = 90.00°, γ = 120.00°
Fractional coordinates of all 26 atoms:
1 Mg 0.3333 0.6667 0.0000
2 Mg 0.3333 0.6667 0.3914
3 Mg 0.6667 0.3333 0.5000
4 Mg 0.6667 0.3333 0.8914
5 Mn 0.1643 0.3285 0.7196
6 Mn 0.1643 0.8357 0.7196
7 Mn 0.3285 0.1643 0.2196
8 Mn 0.6715 0.8357 0.7196
9 Mn 0.8357 0.1643 0.2196
10 Mn 0.8357 0.6715 0.2196
11 O 0.0000 0.0000 0.3257
12 O 0.0000 0.0000 0.8257
13 O 0.0373 0.5187 0.8385
14 O 0.1596 0.3193 0.1178
15 O 0.1596 0.8404 0.1178
16 O 0.3193 0.1596 0.6178
17 O 0.3333 0.6667 0.6099
18 O 0.4813 0.5187 0.8385
19 O 0.4813 0.9627 0.8385
20 O 0.5187 0.0373 0.3385
21 O 0.5187 0.4813 0.3385
22 O 0.6667 0.3333 0.1099
23 O 0.6807 0.8404 0.1178
24 O 0.8404 0.1596 0.6178
25 O 0.8404 0.6807 0.6178
26 O 0.9627 0.4813 0.3385

Most intense lines, 10 to 90 degrees two-theta, in order of falling intensity:
2θ 18.99, intensity 100.0
2θ 36.71, intensity 60.8
2θ 46.14, intensity 45.7
2θ 61.62, intensity 43.2
2θ 36.19, intensity 39.0
2θ 63.52, intensity 38.9
2θ 40.46, intensity 37.5
2θ 25.92, intensity 33.7
2θ 19.91, intensity 33.5
2θ 33.76, intensity 30.1
2θ 56.33, intensity 20.9
2θ 53.30, intensity 19.7


[2]
Structure and calculated PXRD pattern of Mg2Mn3O8 (a DFT-relaxed cell (PBE+U, Alexandria); Cu Kα).
Lines closer than 0.1° are merged.

Cell and atoms:
a = 5.9691 Å, b = 5.9691 Å, c = 5.9691 Å
α = 58.96°, β = 58.96°, γ = 58.96°
Fractional coordinates of all 13 atoms:
1 Mg 0.0000 0.0000 0.0000
2 Mg 0.3820 0.3820 0.3820
3 Mn 0.3837 0.3837 0.8751
4 Mn 0.3837 0.8751 0.3837
5 Mn 0.8751 0.3837 0.3837
6 O 0.1380 0.1380 0.5915
7 O 0.1380 0.5915 0.1380
8 O 0.1428 0.1428 0.1428
9 O 0.1789 0.6286 0.6286
10 O 0.5915 0.1380 0.1380
11 O 0.6163 0.6163 0.6163
12 O 0.6286 0.1789 0.6286
13 O 0.6286 0.6286 0.1789

Most intense lines, 10 to 90 degrees two-theta, in order of falling intensity:
2θ 18.06, intensity 100.0
2θ 43.22, intensity 91.9
2θ 18.45, intensity 69.9
2θ 35.82, intensity 45.9
2θ 35.61, intensity 38.6
2θ 63.33, intensity 33.6
2θ 62.23, intensity 32.8
2θ 56.76, intensity 20.9
2θ 35.19, intensity 17.9
2θ 21.22, intensity 15.7
2θ 57.20, intensity 15.3
2θ 66.44, intensity 12.1